# CeGa2Se4
Computed PXRD pattern, a wavelength of 1.5418 Å. Input: a crystal structure in Alexandria, relaxed with PBE.
Lines closer than 0.1° are merged.

The 10 most intense peaks (10° ≤ 2θ ≤ 80°), in order of rising 2θ:
| two_theta | I_rel | hkl |
| --- | --- | --- |
| 17.90 | 28 | 1 0 1 |
| 27.84 | 17 | 0 0 2 |
| 29.11 | 100 | 1 2 1 |
| 32.30 | 23 | 1 1 2 |
| 32.41 | 34 | 2 2 0 |
| 46.41 | 65 | 3 1 2 |
| 50.04 | 22 | 1 2 3 |
| 50.20 | 20 | 4 1 1 |
| 52.37 | 15 | 2 4 0 |
| 77.16 | 18 | 5 3 2 |

Structural model:
```
data_CeGa2Se4
_symmetry_space_group_name_H-M 'I 4/m'
_symmetry_Int_Tables_number 87
_symmetry_space_group_name_Hall '-I 4'
_cell_length_a 7.814
_cell_length_b 7.814
_cell_length_c 6.409
_cell_angle_alpha 90.00
_cell_angle_beta 90.00
_cell_angle_gamma 90.00
loop_
_atom_site_label
_atom_site_fract_x
_atom_site_fract_y
_atom_site_fract_z
_atom_site_occupancy
Ce1 0.000 0.000 0.000 1
Ga1 0.000 0.500 0.250 1
Se1 0.162 0.686 0.500 1
```